Computed powder XRD pattern
Compound: BC3
Radiation: CuKα
Structure: a cell relaxed with PBE
Intensities are scaled so that the largest is 100.

Peak list (10 most intense, 10 to 90 degrees two-theta, by angle)
2theta	d_spacing	I_rel	hkl
11.37	7.786	6	0 0 1
22.84	3.893	4	0 0 2
34.56	2.595	2	0 0 3
37.55	2.395	1	0 1 1
42.78	2.114	100	1 0 2
50.51	1.807	1	1 0 3
60.08	1.540	1	0 1 4
71.87	1.314	27	1 1 4
75.54	1.259	12	2 0 0
83.88	1.153	8	0 1 6

Crystal structure
```
data_BC3
_cell_length_a 2.517
_cell_length_b 2.518
_cell_length_c 7.786
_cell_angle_alpha 90.00
_cell_angle_beta 90.00
_cell_angle_gamma 90.00
_space_group_name_H-M_alt 'P 1'
_space_group_IT_number 1
_space_group_name_Hall 'P 1'
loop_
_atom_site_label
_atom_site_type_symbol
_atom_site_fract_x
_atom_site_fract_y
_atom_site_fract_z
B1 B 0.250 0.000 0.193
B2 B 0.750 0.000 0.807
C1 C 0.250 0.000 0.671
C2 C 0.250 0.500 0.053
C3 C 0.250 0.500 0.562
C4 C 0.750 0.000 0.329
C5 C 0.750 0.500 0.438
C6 C 0.750 0.500 0.947
```